Structure and theoretical XRD peak list of Pm3Bi2Pb (a structure optimized by DFT (GGA-PBE); copper Kα).
Peak positions follow from Bragg's law for the DFT cell and can differ from measured ones.

Largest 10 diffraction maxima, in order of rising 2θ, 2θ = 5–70°:
- 2θ = 27.63°, I = 100.0
- 2θ = 39.26°, I = 26.6
- 2θ = 39.41°, I = 13.1
- 2θ = 39.53°, I = 13.0
- 2θ = 39.68°, I = 25.8
- 2θ = 48.56°, I = 7.3
- 2θ = 48.81°, I = 14.4
- 2θ = 57.05°, I = 13.6
- 2θ = 64.25°, I = 12.7
- 2θ = 64.84°, I = 12.4

Cell and atoms:
abc: 7.9295 7.9295 7.8518
angles: 99.67 99.67 119.76
Sites, in units of the cell vectors:
Pm: 0.0000 0.5000 0.5000
Pm: 0.1650 0.3329 0.0021
Pm: 0.3329 0.1650 0.5021
Pm: 0.5000 0.0000 0.0000
Pm: 0.6671 0.8350 0.4979
Pm: 0.8350 0.6671 0.9979
Bi: 0.0831 0.9169 0.7500
Bi: 0.2490 0.7510 0.2500
Bi: 0.7510 0.2490 0.7500
Bi: 0.9169 0.0831 0.2500
Pb: 0.4160 0.5840 0.7500
Pb: 0.5840 0.4160 0.2500



Structure and theoretical XRD peak list of Pm4Bi3Pb (a structure optimized by DFT (GGA-PBE); copper Kα).
Peak positions follow from Bragg's law for the DFT cell and can differ from measured ones.

Largest 10 diffraction maxima, in order of rising 2θ, 2θ = 5–70°:
- 2θ = 27.60°, I = 100.0
- 2θ = 39.16°, I = 13.3
- 2θ = 39.43°, I = 52.4
- 2θ = 39.69°, I = 12.9
- 2θ = 48.58°, I = 14.5
- 2θ = 49.02°, I = 14.1
- 2θ = 56.99°, I = 13.6
- 2θ = 64.09°, I = 6.4
- 2θ = 64.47°, I = 25.2
- 2θ = 64.83°, I = 6.2

Cell and atoms:
abc: 9.2007 12.9273 4.5421
angles: 90.00 90.00 90.00
Sites, in units of the cell vectors:
Pm: 0.0000 0.2493 0.0000
Pm: 0.0000 0.7507 0.0000
Pm: 0.2501 0.0000 0.5000
Pm: 0.2499 0.5000 0.5000
Pm: 0.5000 0.2507 0.0000
Pm: 0.5000 0.7493 0.0000
Pm: 0.7499 0.0000 0.5000
Pm: 0.7501 0.5000 0.5000
Bi: 0.0000 0.5000 0.0000
Bi: 0.2500 0.2500 0.5000
Bi: 0.2500 0.7500 0.5000
Bi: 0.5000 0.0000 0.0000
Bi: 0.7500 0.2500 0.5000
Bi: 0.7500 0.7500 0.5000
Pb: 0.0000 0.0000 0.0000
Pb: 0.5000 0.5000 0.0000